The following is a calculated powder diffractogram of Fe5O7F3. It was derived from the PBE+U geometry in Alexandria, using λ = 1.5418 Å (Cu Kα).
Lines closer than 0.1° are merged.

The 10 most intense peaks (2θ = 10–80°), sorted by position:
- d = 3.335 Å, 2θ = 26.73°, intensity 92.7, (1 0 -1)
- d = 3.244 Å, 2θ = 27.49°, intensity 91.2, (1 0 1)
- d = 2.554 Å, 2θ = 35.13°, intensity 100.0, (1 5 0)
- d = 2.325 Å, 2θ = 38.72°, intensity 16.7, (2 0 0)
- d = 2.253 Å, 2θ = 40.01°, intensity 15.5, (1 5 -1)
- d = 1.733 Å, 2θ = 52.84°, intensity 54.1, (2 5 -1)
- d = 1.707 Å, 2θ = 53.71°, intensity 52.8, (2 5 1)
- d = 1.622 Å, 2θ = 56.75°, intensity 15.0, (2 0 2)
- d = 1.528 Å, 2θ = 60.59°, intensity 16.3, (0 10 0)
- d = 1.383 Å, 2θ = 67.78°, intensity 47.9, (3 5 0)

Crystal structure
a b c (Å): 4.6498 15.2817 4.6558
angles (deg): 90.00 91.58 90.00
Space group Pm (No. 6)
Asymmetric unit:
Fe 0.0000 0.0000 0.0000 (multiplicity 1)
Fe 0.0001 0.4045 0.9564 (multiplicity 2)
Fe 0.0170 0.2004 0.9856 (multiplicity 2)
Fe 0.4911 0.2920 0.5200 (multiplicity 2)
Fe 0.5321 0.5000 0.4934 (multiplicity 1)
Fe 0.5362 0.0991 0.4634 (multiplicity 2)
O 0.1888 0.2984 0.8048 (multiplicity 2)
O 0.2087 0.5000 0.7724 (multiplicity 1)
O 0.3204 0.1957 0.2908 (multiplicity 2)
O 0.3288 0.0000 0.2842 (multiplicity 1)
O 0.6930 0.3971 0.6726 (multiplicity 2)
O 0.7113 0.1941 0.6823 (multiplicity 2)
O 0.7160 0.0000 0.6713 (multiplicity 1)
O 0.8094 0.5000 0.1751 (multiplicity 1)
O 0.8306 0.1010 0.1711 (multiplicity 2)
F 0.2175 0.0972 0.7845 (multiplicity 2)
F 0.3024 0.3978 0.2853 (multiplicity 2)
F 0.8021 0.3005 0.1880 (multiplicity 2)